# 1
The following is a theoretical X-ray diffraction stick pattern of Sm4Y8Ho3. It was derived from a DFT-relaxed cell (GGA-PBE, Alexandria), using Cu Kα (λ = 1.5418 Å).
No peak broadening, texture or thermal motion is included.

Cell and atoms:
```
Sm4Y8Ho3
1.0
3.4901 2.0150 11.8039
-3.4901 2.0150 11.8039
0.0000 -4.0300 11.8039
Sm Y Ho
4 8 3
Cartesian
0.0000 0.0000 0.0000 Sm
0.0000 0.0000 5.7984 Sm
0.0000 0.0000 17.7059 Sm
0.0000 0.0000 29.6134 Sm
0.0000 -2.0057 14.7313 Y
-1.7370 1.0028 14.7313 Y
-1.7370 -1.0028 20.6805 Y
0.0000 0.0000 9.0287 Y
0.0000 0.0000 26.3831 Y
1.7370 1.0028 14.7313 Y
1.7370 -1.0028 20.6805 Y
0.0000 2.0057 20.6805 Y
-1.7451 -1.0075 11.8039 Ho
-1.7450 1.0075 23.6079 Ho
0.0000 2.0150 11.8039 Ho
```

Most intense lines, 15° ≤ 2θ ≤ 90°, by angle:
d (Å)	two_theta	I/Imax
3.347	26.63	33
3.008	29.70	49
2.951	30.29	64
2.860	31.27	100
2.595	34.57	22
2.496	35.98	74
1.745	52.43	42
1.502	61.76	50

***

# 2
The following is a theoretical X-ray diffraction stick pattern of Sm5YHo. It was derived from a DFT-relaxed cell (GGA-PBE, Alexandria), using Cu Kα (λ = 1.5418 Å).
No peak broadening, texture or thermal motion is included.

Cell and atoms:
```
Sm5YHo
1.0
6.9624 0.0000 0.0000
0.0000 10.4129 0.0000
-2.2080 0.0000 6.6751
Sm Y Ho
10 2 2
Cartesian
0.0000 0.0000 0.0000 Sm
-0.2799 2.9701 4.8849 Sm
-0.2799 7.4428 4.8849 Sm
1.5531 2.2364 1.7902 Sm
1.5531 8.1766 1.7902 Sm
3.4812 5.2065 0.0000 Sm
3.2013 2.2364 4.8849 Sm
3.2013 8.1766 4.8849 Sm
5.0343 2.9701 1.7902 Sm
5.0343 7.4428 1.7902 Sm
-1.1040 0.0000 3.3376 Y
2.3772 5.2065 3.3376 Y
0.0000 5.2065 0.0000 Ho
3.4812 0.0000 0.0000 Ho
```

Most intense lines, 15° ≤ 2θ ≤ 90°, by angle:
d (Å)	two_theta	I/Imax
4.105	21.65	24
2.960	30.19	28
2.858	31.30	34
2.836	31.55	51
2.810	31.85	100
2.790	32.08	74
2.649	33.83	27
2.603	34.45	29

***

# 3
The following is a theoretical X-ray diffraction stick pattern of Sm2Y3Ho9. It was derived from a DFT-relaxed cell (GGA-PBE, Alexandria), using Cu Kα (λ = 1.5418 Å).
No peak broadening, texture or thermal motion is included.

Cell and atoms:
```
Sm2Y3Ho9
1.0
6.4082 0.0000 0.0000
2.7036 7.9330 0.0000
1.0510 0.0243 8.8017
Sm Y Ho
2 3 9
Cartesian
0.0000 0.0000 0.0000 Sm
2.8739 5.1497 1.7306 Sm
3.3005 0.7833 6.5814 Y
4.2219 2.3935 0.3210 Y
6.4115 4.8227 3.5765 Y
1.4227 2.0355 2.2196 Ho
4.1938 7.1964 3.9868 Ho
3.2303 3.5689 4.6967 Ho
5.1433 5.2500 6.9258 Ho
5.8947 6.8099 0.6803 Ho
4.6949 0.4851 3.2807 Ho
6.5299 2.0103 5.7800 Ho
8.3248 6.5055 6.1626 Ho
8.3913 3.7421 8.0691 Ho
```

Most intense lines, 15° ≤ 2θ ≤ 90°, by angle:
d (Å)	two_theta	I/Imax
2.950	30.29	38
2.833	31.58	100
2.809	31.86	55
2.762	32.42	36
2.757	32.47	80
2.733	32.77	19
2.684	33.38	25
1.924	47.25	17

***

# 4
The following is a theoretical X-ray diffraction stick pattern of SmY5Ho3. It was derived from a DFT-relaxed cell (GGA-PBE, Alexandria), using Cu Kα (λ = 1.5418 Å).
No peak broadening, texture or thermal motion is included.

Cell and atoms:
```
SmY5Ho3
1.0
8.0187 -3.3594 0.0000
8.0187 3.3594 0.0000
-3.9380 0.0000 11.1352
Sm Y Ho
2 10 6
Cartesian
5.0653 2.0301 8.3514 Sm
7.0342 -2.0301 2.7838 Sm
1.6275 1.3139 8.2124 Y
-0.7859 0.3375 10.5855 Y
1.1830 -0.3375 5.0180 Y
7.0342 1.2946 2.7838 Y
3.5965 -1.3139 2.6448 Y
8.5030 1.3139 8.4904 Y
5.0653 -1.2946 8.3514 Y
10.9164 0.3375 6.1172 Y
12.8854 -0.3375 0.5496 Y
10.4720 -1.3139 2.9228 Y
0.0000 0.0000 0.0000 Ho
-1.9690 0.0000 5.5676 Ho
4.3986 0.3614 5.4403 Ho
2.4296 -0.3614 11.0079 Ho
9.6699 0.3614 0.1272 Ho
7.7009 -0.3614 5.6948 Ho
```

Most intense lines, 15° ≤ 2θ ≤ 90°, by angle:
d (Å)	two_theta	I/Imax
3.770	23.60	26
2.876	31.09	100
2.861	31.26	46
2.838	31.52	61
2.784	32.15	56
2.758	32.47	41
2.732	32.78	24
2.348	38.33	23

***

# 5
The following is a theoretical X-ray diffraction stick pattern of Sm4Y8Ho. It was derived from a DFT-relaxed cell (GGA-PBE, Alexandria), using Cu Kα (λ = 1.5418 Å).
No peak broadening, texture or thermal motion is included.

Cell and atoms:
```
Sm4Y8Ho
1.0
7.8094 0.0000 0.0000
0.0000 7.8094 0.0000
0.0000 0.0000 7.8094
Sm Y Ho
4 8 1
Cartesian
0.0000 0.0000 0.0000 Sm
0.0000 3.9047 3.9047 Sm
3.9047 0.0000 3.9047 Sm
3.9047 3.9047 0.0000 Sm
1.8790 1.8790 1.8790 Y
1.8790 1.8790 5.9304 Y
1.8790 5.9304 1.8790 Y
1.8790 5.9304 5.9304 Y
5.9304 1.8790 1.8790 Y
5.9304 1.8790 5.9304 Y
5.9304 5.9304 1.8790 Y
5.9304 5.9304 5.9304 Y
3.9047 3.9047 3.9047 Ho
```

Most intense lines, 15° ≤ 2θ ≤ 90°, by angle:
d (Å)	two_theta	I/Imax
4.509	19.69	20
3.492	25.50	7
2.761	32.43	100
2.355	38.22	11
1.952	46.52	18
1.594	57.84	37
1.381	67.89	11
1.235	77.27	15

***

# 6
The following is a theoretical X-ray diffraction stick pattern of Sm8YHo6. It was derived from a DFT-relaxed cell (GGA-PBE, Alexandria), using Cu Kα (λ = 1.5418 Å).
No peak broadening, texture or thermal motion is included.

Cell and atoms:
```
Sm8YHo6
1.0
9.3970 0.0000 0.0000
-4.6985 8.1380 0.0000
0.0000 0.0000 6.5141
Sm Y Ho
8 1 6
Cartesian
-1.0206 2.3282 2.1827 Sm
-2.1719 7.8577 2.1827 Sm
1.5060 2.0479 4.3314 Sm
0.0000 5.4253 2.4687 Sm
4.6985 2.7127 4.0454 Sm
3.1925 6.0901 2.1827 Sm
6.8704 0.2803 4.3314 Sm
5.7190 5.8098 4.3314 Sm
0.0000 0.0000 0.0000 Y
-1.1851 3.5607 5.4761 Ho
-1.0222 7.3840 5.4761 Ho
2.4911 2.8067 1.0380 Ho
2.2073 5.3313 5.4761 Ho
5.7207 0.7540 1.0380 Ho
5.8836 4.5773 1.0380 Ho
```

Most intense lines, 15° ≤ 2θ ≤ 90°, by angle:
d (Å)	two_theta	I/Imax
3.451	25.82	22
3.076	29.03	35
3.024	29.54	23
2.781	32.18	100
2.713	33.02	21
2.677	33.48	58
1.795	50.88	18
1.775	51.48	22